Entry 1:
The following is a simulated X-ray diffraction stick pattern of RbVO3. It was derived from a structure optimized by DFT (GGA+U), using CuKα.

Largest 8 diffraction maxima, sorted by position, 2θ from 10° to 80°:
d/Å	intensity
6.006	56
4.299	65
3.951	100
3.440	59
3.335	53
3.316	52
3.193	66
2.877	86

Structural model:
Cell lengths 5.247, 7.269, 10.663 Å; angles 90.00, 90.41, 90.00 degrees
Positions (direct):
Rb: 0.250 0.121 0.164
Rb: 0.250 0.379 0.664
Rb: 0.750 0.621 0.336
Rb: 0.750 0.879 0.836
V: 0.250 0.580 0.997
V: 0.250 0.920 0.497
V: 0.750 0.080 0.503
V: 0.750 0.420 0.003
O: 0.004 0.010 0.614
O: 0.004 0.490 0.114
O: 0.250 0.691 0.501
O: 0.250 0.809 0.001
O: 0.498 0.011 0.614
O: 0.498 0.489 0.114
O: 0.502 0.511 0.886
O: 0.502 0.989 0.386
O: 0.750 0.191 0.999
O: 0.750 0.309 0.499
O: 0.996 0.510 0.886
O: 0.996 0.990 0.386

Entry 2:
The following is a simulated X-ray diffraction stick pattern of RbVO3. It was derived from a structure optimized by DFT (GGA+U), using CuKα.

Largest 8 diffraction maxima, sorted by position, 2θ from 10° to 80°:
d/Å	intensity
3.988	14
3.290	100
2.908	40
2.742	14
2.600	15
2.426	13
2.056	13
1.744	18

Structural model:
Cell lengths 5.484, 11.622, 5.819 Å; angles 90.00, 90.00, 90.00 degrees
Positions (direct):
Rb: 0.064 0.103 0.250
Rb: 0.064 0.397 0.750
Rb: 0.936 0.603 0.250
Rb: 0.936 0.897 0.750
V: 0.474 0.666 0.750
V: 0.474 0.834 0.250
V: 0.526 0.166 0.750
V: 0.526 0.334 0.250
O: 0.170 0.648 0.750
O: 0.170 0.852 0.250
O: 0.384 0.039 0.750
O: 0.384 0.461 0.250
O: 0.428 0.250 0.000
O: 0.428 0.250 0.500
O: 0.572 0.750 0.000
O: 0.572 0.750 0.500
O: 0.616 0.539 0.750
O: 0.616 0.961 0.250
O: 0.830 0.148 0.750
O: 0.830 0.352 0.250

Entry 3:
The following is a simulated X-ray diffraction stick pattern of RbV2O7. It was derived from a structure optimized by DFT (GGA+U), using CuKα.

Largest 8 diffraction maxima, sorted by position, 2θ from 10° to 80°:
d/Å	intensity
3.515	58
3.250	51
3.131	80
3.004	47
2.988	100
2.206	92
2.168	36
1.984	61

Structural model:
Cell lengths 7.161, 7.161, 3.572 Å; angles 90.00, 90.00, 130.39 degrees
Positions (direct):
Rb: 0.000 0.000 0.000
V: 0.274 0.726 0.500
V: 0.726 0.274 0.500
O: 0.121 0.416 0.500
O: 0.235 0.765 0.000
O: 0.416 0.121 0.500
O: 0.500 0.500 0.500
O: 0.584 0.879 0.500
O: 0.765 0.235 0.000
O: 0.879 0.584 0.500

Entry 4:
The following is a simulated X-ray diffraction stick pattern of RbVO2. It was derived from a structure optimized by DFT (GGA+U), using CuKα.

Largest 8 diffraction maxima, sorted by position, 2θ from 10° to 80°:
d/Å	intensity
3.430	10
3.007	20
2.971	100
2.114	9
2.088	8
1.715	23
1.708	9
1.485	10

Structural model:
Cell lengths 6.014, 8.350, 5.943 Å; angles 90.00, 90.00, 90.00 degrees
Positions (direct):
Rb: 0.051 0.122 0.000
Rb: 0.449 0.622 0.500
Rb: 0.551 0.378 0.000
Rb: 0.949 0.878 0.500
V: 0.045 0.626 0.983
V: 0.455 0.126 0.483
V: 0.545 0.874 0.983
V: 0.955 0.374 0.483
O: 0.009 0.558 0.672
O: 0.151 0.194 0.531
O: 0.349 0.694 0.031
O: 0.491 0.058 0.172
O: 0.509 0.942 0.672
O: 0.651 0.306 0.531
O: 0.849 0.806 0.031
O: 0.991 0.442 0.172

Entry 5:
The following is a simulated X-ray diffraction stick pattern of Rb4VO4. It was derived from a structure optimized by DFT (GGA+U), using CuKα.

Largest 8 diffraction maxima, sorted by position, 2θ from 10° to 80°:
d/Å	intensity
3.911	47
3.420	100
3.102	26
2.839	24
2.681	30
2.603	36
2.268	33
1.621	24

Structural model:
Cell lengths 7.363, 7.363, 9.231 Å; angles 90.00, 90.00, 90.00 degrees
Positions (direct):
Rb: 0.015 0.250 0.064
Rb: 0.250 0.015 0.564
Rb: 0.250 0.485 0.564
Rb: 0.485 0.250 0.064
Rb: 0.515 0.750 0.936
Rb: 0.750 0.515 0.436
Rb: 0.750 0.985 0.436
Rb: 0.985 0.750 0.936
V: 0.250 0.750 0.250
V: 0.750 0.250 0.750
O: 0.058 0.750 0.364
O: 0.250 0.558 0.136
O: 0.250 0.942 0.136
O: 0.442 0.750 0.364
O: 0.558 0.250 0.636
O: 0.750 0.058 0.864
O: 0.750 0.442 0.864
O: 0.942 0.250 0.636

Entry 6:
The following is a simulated X-ray diffraction stick pattern of RbV4O10. It was derived from a structure optimized by DFT (GGA+U), using CuKα.

Largest 8 diffraction maxima, sorted by position, 2θ from 10° to 80°:
d/Å	intensity
4.628	70
4.169	59
3.316	96
3.278	88
2.966	62
2.672	100
2.640	43
1.861	45

Structural model:
Cell lengths 6.155, 6.155, 10.125 Å; angles 100.21, 100.21, 35.19 degrees
Positions (direct):
Rb: 0.000 0.000 0.000
V: 0.294 0.294 0.658
V: 0.411 0.411 0.347
V: 0.589 0.589 0.653
V: 0.706 0.706 0.342
O: 0.121 0.121 0.628
O: 0.242 0.242 0.384
O: 0.341 0.341 0.820
O: 0.402 0.402 0.184
O: 0.435 0.435 0.593
O: 0.565 0.565 0.407
O: 0.598 0.598 0.816
O: 0.659 0.659 0.180
O: 0.758 0.758 0.616
O: 0.879 0.879 0.372

Entry 7:
The following is a simulated X-ray diffraction stick pattern of Rb4V2O9. It was derived from a structure optimized by DFT (GGA+U), using CuKα.

Largest 8 diffraction maxima, sorted by position, 2θ from 10° to 80°:
d/Å	intensity
4.028	77
3.488	78
3.177	88
3.135	63
3.074	100
2.953	78
2.476	33
2.273	45

Structural model:
Cell lengths 6.868, 7.247, 7.862 Å; angles 63.24, 68.47, 89.57 degrees
Positions (direct):
Rb: 0.152 0.289 0.180
Rb: 0.287 0.204 0.666
Rb: 0.713 0.796 0.334
Rb: 0.848 0.711 0.820
V: 0.283 0.770 0.176
V: 0.717 0.230 0.824
O: 0.105 0.805 0.384
O: 0.135 0.745 0.053
O: 0.296 0.891 0.499
O: 0.396 0.555 0.258
O: 0.500 0.000 0.000
O: 0.604 0.445 0.742
O: 0.704 0.109 0.501
O: 0.865 0.255 0.947
O: 0.895 0.195 0.616

Entry 8:
The following is a simulated X-ray diffraction stick pattern of RbV6O8. It was derived from a structure optimized by DFT (GGA+U), using CuKα.

Largest 8 diffraction maxima, sorted by position, 2θ from 10° to 80°:
d/Å	intensity
5.963	33
3.518	34
3.244	44
2.737	100
2.460	35
2.045	24
1.851	35
1.647	25

Structural model:
Cell lengths 5.986, 5.986, 5.986 Å; angles 93.41, 93.41, 93.41 degrees
Positions (direct):
Rb: 0.000 0.000 0.000
V: 0.192 0.574 0.374
V: 0.374 0.192 0.574
V: 0.426 0.626 0.808
V: 0.574 0.374 0.192
V: 0.626 0.808 0.426
V: 0.808 0.426 0.626
O: 0.141 0.412 0.682
O: 0.269 0.269 0.269
O: 0.318 0.859 0.588
O: 0.412 0.682 0.141
O: 0.588 0.318 0.859
O: 0.682 0.141 0.412
O: 0.731 0.731 0.731
O: 0.859 0.588 0.318